Hg4PSCl2: theoretical powder diffractogram (CuKα), based on a structure optimized by DFT (PBE).
Intensities are scaled so that the largest is 100.

Unit cell a=8.465 b=8.465 c=8.465 alpha=124.74 beta=124.37 gamma=82.27
Atoms (fractional coordinates):
Hg  0.254  0.237  0.018
Hg  0.281  0.763  0.518
Hg  0.289  0.271  0.481
Hg  0.289  0.808  0.019
Hg  0.711  0.192  0.981
Hg  0.711  0.729  0.519
Hg  0.719  0.237  0.482
Hg  0.746  0.763  0.982
P  0.500  0.000  0.000
P  0.500  0.500  0.500
S  0.000  0.000  0.000
S  0.500  0.000  0.500
Cl  0.000  0.000  0.500
Cl  0.000  0.500  0.000
Cl  0.000  0.500  0.500
Cl  0.500  0.500  0.000

Largest 12 diffraction maxima, low angle first, 10° ≤ 2θ ≤ 90°:
d [Å]  two_theta  I/Imax
6.708  13.2  22.8
3.358  26.5  68.0
3.343  26.7  67.2
3.188  28.0  46.1
2.784  32.1  100.0
2.710  33.1  25.3
2.427  37.0  16.5
2.097  43.1  54.6
1.975  46.0  17.8
1.963  46.3  17.9
1.700  53.9  18.8
1.694  54.1  18.6